Structure and calculated PXRD pattern of Rb3NaAg2P2 (DFT lattice parameters and positions (GGA-PBE); Cu Kα, 1.54184 Å).
Kinematic intensities with the Lorentz-polarization factor, no thermal factor.

Structure:
Cell lengths 6.380, 6.018, 6.447 Å; angles 90.00, 103.01, 90.00 degrees
Space group Pm (No. 6)
Asymmetric unit:
Rb 0.000 0.000 0.000 x1
Rb 0.283 0.500 0.280 x1
Rb 0.615 0.500 0.924 x1
Na 0.310 0.000 0.609 x1
Ag 0.820 0.251 0.477 x2
P 0.073 0.500 0.715 x1
P 0.553 0.000 0.260 x1

Peak list (8 most intense, 15 to 90 degrees two-theta, low angle first)
- 2θ 26.8, intensity 70
- 2θ 28.8, intensity 77
- 2θ 29.0, intensity 54
- 2θ 32.5, intensity 53
- 2θ 32.7, intensity 44
- 2θ 33.0, intensity 100
- 2θ 34.8, intensity 65
- 2θ 37.4, intensity 42